No. 1
# DySi2Rh2
Computed powder diffractogram, Cu Kα. Input: the GGA-PBE geometry in the Materials Project.

Lattice parameters (Å, degrees): 4.066 4.066 9.992 90.00 90.00 90.00
Fractional positions:
Dy: 0.000 0.000 0.000
Dy: 0.500 0.500 0.500
Si: 0.000 0.000 0.378
Si: 0.000 0.000 0.622
Si: 0.500 0.500 0.122
Si: 0.500 0.500 0.878
Rh: 0.000 0.500 0.250
Rh: 0.000 0.500 0.750
Rh: 0.500 0.000 0.250
Rh: 0.500 0.000 0.750

Largest 12 diffraction maxima, by angle, 2θ = 10–80°:
2θ = 23.62°, d 3.766, I 243, (1 0 1); 2θ = 34.82°, d 2.577, I 261, (1 0 3); 2θ = 36.03°, d 2.493, I 1000, (1 1 2); 2θ = 44.57°, d 2.033, I 304, (2 0 0); 2θ = 50.91°, d 1.794, I 94, (1 0 5); 2θ = 51.05°, d 1.789, I 65, (2 1 1); 2θ = 57.76°, d 1.596, I 121, (2 1 3); 2θ = 58.53°, d 1.577, I 147, (2 0 4); 2θ = 64.68°, d 1.441, I 144, (1 1 6); 2θ = 64.86°, d 1.438, I 98, (2 2 0); 2θ = 69.94°, d 1.345, I 73, (2 1 5); 2θ = 76.48°, d 1.245, I 252, (3 1 2)


No. 2
# LuAlPt
Computed powder diffractogram, Cu Kα. Input: the GGA-PBE geometry in the Materials Project.

Lattice parameters (Å, degrees): 6.780 4.390 7.688 90.00 90.00 90.00
Fractional positions:
Lu: 0.031 0.250 0.180
Lu: 0.469 0.750 0.680
Lu: 0.531 0.250 0.320
Lu: 0.969 0.750 0.820
Al: 0.146 0.250 0.563
Al: 0.354 0.750 0.063
Al: 0.646 0.250 0.937
Al: 0.854 0.750 0.437
Pt: 0.229 0.750 0.382
Pt: 0.271 0.250 0.882
Pt: 0.729 0.750 0.118
Pt: 0.771 0.250 0.618

Largest 12 diffraction maxima, by angle, 2θ = 10–80°:
2θ = 26.66°, d 3.344, I 305, (1 0 2); 2θ = 26.83°, d 3.323, I 494, (1 1 1); 2θ = 33.69°, d 2.660, I 436, (1 1 2); 2θ = 35.44°, d 2.533, I 1000, (2 1 1); 2θ = 37.52°, d 2.397, I 139, (1 0 3); 2θ = 40.77°, d 2.213, I 222, (0 1 3); 2θ = 41.13°, d 2.195, I 344, (0 2 0); 2θ = 42.99°, d 2.104, I 195, (1 1 3); 2θ = 46.62°, d 1.948, I 207, (3 0 2); 2θ = 54.11°, d 1.695, I 134, (4 0 0); 2θ = 63.89°, d 1.457, I 163, (3 2 2); 2θ = 70.17°, d 1.341, I 177, (4 2 0)


No. 3
# ThCu6
Computed powder diffractogram, Cu Kα. Input: the GGA-PBE geometry in the Materials Project.

Lattice parameters (Å, degrees): 8.106 5.078 10.119 90.00 90.00 90.00
Fractional positions:
Th: 0.240 0.250 0.065
Th: 0.260 0.750 0.565
Th: 0.740 0.250 0.435
Th: 0.760 0.750 0.935
Cu: 0.062 0.750 0.096
Cu: 0.064 0.005 0.309
Cu: 0.064 0.495 0.309
Cu: 0.099 0.250 0.515
Cu: 0.146 0.750 0.857
Cu: 0.183 0.250 0.756
Cu: 0.317 0.750 0.256
Cu: 0.354 0.250 0.357
Cu: 0.401 0.750 0.015
Cu: 0.436 0.505 0.809
Cu: 0.436 0.995 0.809
Cu: 0.438 0.250 0.596
Cu: 0.562 0.750 0.404
Cu: 0.564 0.005 0.191
Cu: 0.564 0.495 0.191
Cu: 0.599 0.250 0.985
Cu: 0.646 0.750 0.643
Cu: 0.683 0.250 0.744
Cu: 0.817 0.750 0.244
Cu: 0.854 0.250 0.143
Cu: 0.901 0.750 0.485
Cu: 0.936 0.505 0.691
Cu: 0.936 0.995 0.691
Cu: 0.938 0.250 0.904

Largest 12 diffraction maxima, by angle, 2θ = 10–80°:
2θ = 22.45°, d 3.960, I 408, (1 1 1); 2θ = 31.85°, d 2.810, I 355, (0 1 3); 2θ = 35.35°, d 2.539, I 369, (0 2 0); 2θ = 37.23°, d 2.415, I 572, (1 0 4); 2θ = 38.79°, d 2.322, I 1000, (3 1 1); 2θ = 39.01°, d 2.309, I 863, (2 1 3); 2θ = 39.72°, d 2.269, I 284, (0 2 2); 2θ = 41.31°, d 2.185, I 220, (1 2 2); 2θ = 41.99°, d 2.152, I 335, (2 2 0); 2θ = 42.96°, d 2.105, I 210, (2 2 1); 2θ = 45.91°, d 1.977, I 227, (2 1 4); 2θ = 46.13°, d 1.968, I 249, (1 2 3)


No. 4
# NaH9O5
Computed powder diffractogram, Cu Kα. Input: the GGA-PBE geometry in the Materials Project.

Lattice parameters (Å, degrees): 6.356 6.383 13.042 90.00 90.00 90.00
Fractional positions:
Na: 0.008 0.250 0.249
Na: 0.492 0.750 0.749
Na: 0.508 0.250 0.751
Na: 0.992 0.750 0.251
H: 0.057 0.726 0.950
H: 0.063 0.002 0.061
H: 0.074 0.667 0.548
H: 0.075 0.013 0.434
H: 0.130 0.506 0.798
H: 0.144 0.492 0.674
H: 0.195 0.018 0.894
H: 0.211 0.021 0.610
H: 0.216 0.543 0.985
H: 0.284 0.457 0.485
H: 0.289 0.979 0.110
H: 0.305 0.982 0.394
H: 0.356 0.508 0.174
H: 0.370 0.494 0.298
H: 0.425 0.987 0.934
H: 0.426 0.333 0.048
H: 0.437 0.998 0.561
H: 0.443 0.274 0.450
H: 0.557 0.774 0.050
H: 0.563 0.498 0.939
H: 0.574 0.833 0.452
H: 0.575 0.487 0.566
H: 0.630 0.994 0.202
H: 0.644 0.008 0.326
H: 0.695 0.482 0.106
H: 0.711 0.479 0.390
H: 0.716 0.957 0.015
H: 0.784 0.043 0.515
H: 0.789 0.521 0.890
H: 0.805 0.518 0.606
H: 0.856 0.992 0.826
H: 0.870 0.006 0.702
H: 0.925 0.513 0.066
H: 0.926 0.167 0.952
H: 0.937 0.502 0.439
H: 0.943 0.226 0.550
O: 0.066 0.514 0.548
O: 0.074 0.573 0.950
O: 0.141 0.996 0.129
O: 0.157 0.989 0.371
O: 0.224 0.488 0.740
O: 0.276 0.512 0.240
O: 0.343 0.011 0.871
O: 0.359 0.004 0.629
O: 0.426 0.427 0.450
O: 0.434 0.486 0.048
O: 0.566 0.986 0.452
O: 0.574 0.927 0.050
O: 0.641 0.504 0.871
O: 0.657 0.511 0.629
O: 0.724 0.012 0.260
O: 0.776 0.988 0.760
O: 0.843 0.489 0.129
O: 0.859 0.496 0.371
O: 0.926 0.073 0.550
O: 0.934 0.014 0.952

Largest 12 diffraction maxima, by angle, 2θ = 10–80°:
2θ = 15.50°, d 5.715, I 848, (1 0 1); 2θ = 24.81°, d 3.588, I 484, (1 0 3); 2θ = 27.96°, d 3.191, I 654, (0 2 0); 2θ = 31.20°, d 2.867, I 193, (0 2 2); 2θ = 32.18°, d 2.781, I 871, (2 1 1); 2θ = 33.94°, d 2.641, I 1000, (1 1 4); 2θ = 37.77°, d 2.382, I 495, (2 1 3); 2θ = 39.55°, d 2.279, I 231, (0 2 4); 2θ = 42.47°, d 2.129, I 528, (2 2 2); 2θ = 47.22°, d 1.925, I 510, (1 2 5); 2θ = 47.75°, d 1.905, I 202, (3 0 3); 2θ = 52.26°, d 1.750, I 231, (3 2 1)


No. 5
# SbO2
Computed powder diffractogram, Cu Kα. Input: the GGA-PBE geometry in the Materials Project.

Lattice parameters (Å, degrees): 6.504 7.423 15.664 83.96 89.24 66.15
Fractional positions:
Sb: 0.000 0.000 0.000
Sb: 0.037 0.420 0.477
Sb: 0.168 0.167 0.656
Sb: 0.208 0.576 0.627
Sb: 0.285 0.904 0.835
Sb: 0.354 0.330 0.312
Sb: 0.419 0.860 0.210
Sb: 0.505 0.012 0.991
Sb: 0.578 0.405 0.991
Sb: 0.634 0.800 0.692
Sb: 0.832 0.312 0.304
Sb: 0.945 0.757 0.309
O: 0.035 0.038 0.746
O: 0.072 0.518 0.245
O: 0.085 0.420 0.708
O: 0.119 0.794 0.918
O: 0.119 0.902 0.250
O: 0.189 0.122 0.917
O: 0.197 0.568 0.396
O: 0.200 0.210 0.401
O: 0.306 0.908 0.071
O: 0.317 0.321 0.568
O: 0.375 0.922 0.608
O: 0.395 0.263 0.042
O: 0.404 0.122 0.237
O: 0.440 0.050 0.751
O: 0.463 0.676 0.771
O: 0.517 0.487 0.250
O: 0.568 0.813 0.911
O: 0.647 0.193 0.375
O: 0.694 0.160 0.922
O: 0.784 0.518 0.393
O: 0.803 0.875 0.057
O: 0.872 0.246 0.055
O: 0.936 0.255 0.563
O: 0.944 0.655 0.544

Largest 12 diffraction maxima, by angle, 2θ = 10–80°:
2θ = 13.72°, d 6.454, I 423, (0 1 1); 2θ = 14.87°, d 5.957, I 1000, (0 1 -1); 2θ = 15.78°, d 5.615, I 591, (1 0 -1); 2θ = 16.06°, d 5.520, I 651, (1 1 1); 2θ = 17.09°, d 5.190, I 999, (0 0 3); 2θ = 22.34°, d 3.980, I 209, (1 1 3); 2θ = 26.41°, d 3.375, I 395, (0 2 1); 2θ = 29.99°, d 2.979, I 286, (0 2 -2); 2θ = 30.80°, d 2.903, I 267, (2 0 1); 2θ = 32.42°, d 2.761, I 268, (2 2 2); 2θ = 38.70°, d 2.326, I 455, (2 0 4); 2θ = 40.04°, d 2.252, I 417, (2 2 -4)


No. 6
# TmH3O3
Computed powder diffractogram, Cu Kα. Input: the GGA-PBE geometry in the Materials Project.

Lattice parameters (Å, degrees): 6.269 3.432 6.334 90.00 117.55 90.00
Fractional positions:
Tm: 0.156 0.250 0.322
Tm: 0.844 0.750 0.678
H: 0.228 0.250 0.858
H: 0.361 0.750 0.689
H: 0.364 0.750 0.136
H: 0.636 0.250 0.864
H: 0.639 0.250 0.311
H: 0.772 0.750 0.142
O: 0.106 0.250 0.913
O: 0.186 0.750 0.590
O: 0.406 0.750 0.304
O: 0.594 0.250 0.696
O: 0.814 0.250 0.410
O: 0.894 0.750 0.087

Largest 12 diffraction maxima, by angle, 2θ = 10–80°:
2θ = 15.78°, d 5.616, I 449, (0 0 1); 2θ = 15.95°, d 5.558, I 691, (1 0 0); 2θ = 16.45°, d 5.388, I 517, (1 0 -1); 2θ = 27.30°, d 3.266, I 446, (1 0 1); 2θ = 28.21°, d 3.163, I 399, (1 0 -2); 2θ = 28.50°, d 3.132, I 389, (2 0 -1); 2θ = 30.57°, d 2.925, I 1000, (0 1 1); 2θ = 30.89°, d 2.895, I 487, (1 1 -1); 2θ = 41.55°, d 2.173, I 314, (0 1 2); 2θ = 41.83°, d 2.160, I 405, (2 1 0); 2θ = 42.66°, d 2.119, I 342, (2 1 -2); 2θ = 50.26°, d 1.815, I 238, (1 1 2)


No. 7
# Ba5Fe2N4
Computed powder diffractogram, Cu Kα. Input: the GGA-PBE geometry in the Materials Project.

Lattice parameters (Å, degrees): 9.289 9.289 13.028 90.00 90.00 90.00
Fractional positions:
Ba: 0.069 0.637 0.104
Ba: 0.069 0.863 0.604
Ba: 0.137 0.569 0.396
Ba: 0.137 0.931 0.896
Ba: 0.250 0.250 0.163
Ba: 0.250 0.250 0.663
Ba: 0.363 0.569 0.896
Ba: 0.363 0.931 0.396
Ba: 0.431 0.637 0.604
Ba: 0.431 0.863 0.104
Ba: 0.569 0.137 0.896
Ba: 0.569 0.363 0.396
Ba: 0.637 0.069 0.604
Ba: 0.637 0.431 0.104
Ba: 0.750 0.750 0.337
Ba: 0.750 0.750 0.837
Ba: 0.863 0.069 0.104
Ba: 0.863 0.431 0.604
Ba: 0.931 0.137 0.396
Ba: 0.931 0.363 0.896
Fe: 0.093 0.593 0.750
Fe: 0.093 0.907 0.250
Fe: 0.407 0.593 0.250
Fe: 0.407 0.907 0.750
Fe: 0.593 0.093 0.250
Fe: 0.593 0.407 0.750
Fe: 0.907 0.093 0.750
Fe: 0.907 0.407 0.250
N: 0.055 0.645 0.875
N: 0.055 0.855 0.375
N: 0.145 0.555 0.625
N: 0.145 0.945 0.125
N: 0.355 0.555 0.125
N: 0.355 0.945 0.625
N: 0.445 0.645 0.375
N: 0.445 0.855 0.875
N: 0.555 0.145 0.125
N: 0.555 0.355 0.625
N: 0.645 0.055 0.375
N: 0.645 0.445 0.875
N: 0.855 0.055 0.875
N: 0.855 0.445 0.375
N: 0.945 0.145 0.625
N: 0.945 0.355 0.125

Largest 12 diffraction maxima, by angle, 2θ = 10–80°:
2θ = 22.47°, d 3.958, I 127, (2 1 1); 2θ = 25.43°, d 3.502, I 506, (2 1 2); 2θ = 27.38°, d 3.257, I 205, (0 0 4); 2θ = 29.76°, d 3.002, I 1000, (2 1 3); 2θ = 30.43°, d 2.937, I 656, (3 1 0); 2θ = 31.22°, d 2.865, I 263, (3 1 1); 2θ = 41.39°, d 2.181, I 150, (3 1 4); 2θ = 43.58°, d 2.077, I 122, (4 2 0); 2θ = 44.16°, d 2.051, I 150, (4 2 1); 2θ = 46.59°, d 1.949, I 124, (3 1 5); 2θ = 51.13°, d 1.786, I 302, (5 0 2); 2θ = 56.67°, d 1.624, I 106, (4 2 5)


No. 8
# Li2PmSi
Computed powder diffractogram, Cu Kα. Input: the GGA-PBE geometry in the Materials Project.

Lattice parameters (Å, degrees): 6.531 6.531 6.531 90.00 90.00 90.00
Fractional positions:
Li: 0.250 0.250 0.250
Li: 0.250 0.250 0.750
Li: 0.250 0.750 0.250
Li: 0.250 0.750 0.750
Li: 0.750 0.250 0.250
Li: 0.750 0.250 0.750
Li: 0.750 0.750 0.250
Li: 0.750 0.750 0.750
Pm: 0.000 0.000 0.000
Pm: 0.000 0.500 0.500
Pm: 0.500 0.000 0.500
Pm: 0.500 0.500 0.000
Si: 0.000 0.000 0.500
Si: 0.000 0.500 0.000
Si: 0.500 0.000 0.000
Si: 0.500 0.500 0.500

Largest 10 diffraction maxima, by angle, 2θ = 10–80°:
2θ = 23.59°, d 3.771, I 950, (1 1 1); 2θ = 27.31°, d 3.266, I 1000, (2 0 0); 2θ = 39.01°, d 2.309, I 967, (2 2 0); 2θ = 46.09°, d 1.969, I 496, (3 1 1); 2θ = 48.27°, d 1.885, I 276, (2 2 2); 2θ = 56.35°, d 1.633, I 165, (4 0 0); 2θ = 61.93°, d 1.498, I 206, (3 3 1); 2θ = 63.73°, d 1.460, I 359, (4 2 0); 2θ = 70.66°, d 1.333, I 334, (4 2 2); 2θ = 75.66°, d 1.257, I 152, (5 1 1)


Which formula does entry 5 have?
SbO2


What did the seventh record say?
# Ba5Fe2N4
Computed powder diffractogram, Cu Kα. Input: the GGA-PBE geometry in the Materials Project.

Lattice parameters (Å, degrees): 9.289 9.289 13.028 90.00 90.00 90.00
Fractional positions:
Ba: 0.069 0.637 0.104
Ba: 0.069 0.863 0.604
Ba: 0.137 0.569 0.396
Ba: 0.137 0.931 0.896
Ba: 0.250 0.250 0.163
Ba: 0.250 0.250 0.663
Ba: 0.363 0.569 0.896
Ba: 0.363 0.931 0.396
Ba: 0.431 0.637 0.604
Ba: 0.431 0.863 0.104
Ba: 0.569 0.137 0.896
Ba: 0.569 0.363 0.396
Ba: 0.637 0.069 0.604
Ba: 0.637 0.431 0.104
Ba: 0.750 0.750 0.337
Ba: 0.750 0.750 0.837
Ba: 0.863 0.069 0.104
Ba: 0.863 0.431 0.604
Ba: 0.931 0.137 0.396
Ba: 0.931 0.363 0.896
Fe: 0.093 0.593 0.750
Fe: 0.093 0.907 0.250
Fe: 0.407 0.593 0.250
Fe: 0.407 0.907 0.750
Fe: 0.593 0.093 0.250
Fe: 0.593 0.407 0.750
Fe: 0.907 0.093 0.750
Fe: 0.907 0.407 0.250
N: 0.055 0.645 0.875
N: 0.055 0.855 0.375
N: 0.145 0.555 0.625
N: 0.145 0.945 0.125
N: 0.355 0.555 0.125
N: 0.355 0.945 0.625
N: 0.445 0.645 0.375
N: 0.445 0.855 0.875
N: 0.555 0.145 0.125
N: 0.555 0.355 0.625
N: 0.645 0.055 0.375
N: 0.645 0.445 0.875
N: 0.855 0.055 0.875
N: 0.855 0.445 0.375
N: 0.945 0.145 0.625
N: 0.945 0.355 0.125

Largest 12 diffraction maxima, by angle, 2θ = 10–80°:
2θ = 22.47°, d 3.958, I 127, (2 1 1); 2θ = 25.43°, d 3.502, I 506, (2 1 2); 2θ = 27.38°, d 3.257, I 205, (0 0 4); 2θ = 29.76°, d 3.002, I 1000, (2 1 3); 2θ = 30.43°, d 2.937, I 656, (3 1 0); 2θ = 31.22°, d 2.865, I 263, (3 1 1); 2θ = 41.39°, d 2.181, I 150, (3 1 4); 2θ = 43.58°, d 2.077, I 122, (4 2 0); 2θ = 44.16°, d 2.051, I 150, (4 2 1); 2θ = 46.59°, d 1.949, I 124, (3 1 5); 2θ = 51.13°, d 1.786, I 302, (5 0 2); 2θ = 56.67°, d 1.624, I 106, (4 2 5)